The following is a calculated X-ray powder pattern of HfIn2PbBr6. It was derived from a DFT-relaxed cell (PBE, OQMD), using Cu Kα, 1.54184 Å.

Structural model:
a b c (Å): 8.048 8.048 8.048
angles (deg): 60.00 60.00 60.00
Element x y z (fractional)
Hf 0.000 0.000 0.000
In 0.250 0.250 0.250
In 0.750 0.750 0.750
Pb 0.500 0.500 0.500
Br 0.232 0.232 0.768
Br 0.232 0.768 0.232
Br 0.232 0.768 0.768
Br 0.768 0.232 0.232
Br 0.768 0.232 0.768
Br 0.768 0.768 0.232

Main lines, by intensity (2θ = 10–90°):
2θ 31.44, d = 2.845 Å, I = 100.0; 2θ 22.09, d = 4.024 Å, I = 83.5; 2θ 45.06, d = 2.012 Å, I = 71.1; 2θ 15.57, d = 5.691 Å, I = 44.2; 2θ 38.76, d = 2.323 Å, I = 37.6; 2θ 74.58, d = 1.272 Å, I = 29.2; 2θ 55.98, d = 1.643 Å, I = 24.0; 2θ 60.91, d = 1.521 Å, I = 23.1; 2θ 35.27, d = 2.545 Å, I = 22.0; 2θ 83.16, d = 1.162 Å, I = 21.6; 2θ 50.73, d = 1.800 Å, I = 21.3; 2θ 27.14, d = 3.286 Å, I = 19.0

***

The following is a calculated X-ray powder pattern of Tb11In9Pd4. It was derived from a DFT-relaxed cell (PBE, OQMD), using Cu Kα, 1.54184 Å.

Structural model:
a b c (Å): 13.251 13.251 3.699
angles (deg): 90.00 90.00 112.76
Element x y z (fractional)
Tb 0.000 0.000 0.000
Tb 0.072 0.414 0.000
Tb 0.162 0.838 0.000
Tb 0.307 0.307 0.000
Tb 0.373 0.627 0.000
Tb 0.414 0.072 0.000
Tb 0.586 0.928 0.000
Tb 0.627 0.373 0.000
Tb 0.693 0.693 0.000
Tb 0.838 0.162 0.000
Tb 0.928 0.586 0.000
In 0.072 0.216 0.500
In 0.158 0.632 0.500
In 0.216 0.072 0.500
In 0.368 0.842 0.500
In 0.500 0.500 0.500
In 0.632 0.158 0.500
In 0.784 0.928 0.500
In 0.842 0.368 0.500
In 0.928 0.784 0.500
Pd 0.246 0.448 0.500
Pd 0.448 0.246 0.500
Pd 0.552 0.754 0.500
Pd 0.754 0.552 0.500

Main lines, by intensity (2θ = 10–90°):
2θ 34.41, d = 2.606 Å, I = 100.0; 2θ 34.53, d = 2.597 Å, I = 41.0; 2θ 36.62, d = 2.454 Å, I = 15.5; 2θ 61.56, d = 1.507 Å, I = 15.1; 2θ 49.27, d = 1.849 Å, I = 15.0; 2θ 32.70, d = 2.738 Å, I = 12.7; 2θ 31.57, d = 2.834 Å, I = 10.1; 2θ 37.67, d = 2.388 Å, I = 9.8; 2θ 37.17, d = 2.419 Å, I = 9.7; 2θ 82.53, d = 1.169 Å, I = 8.0; 2θ 56.08, d = 1.640 Å, I = 7.6; 2θ 32.16, d = 2.784 Å, I = 6.5